No. 1
Structure and calculated X-ray powder pattern of TbMg2Cd10 (a cell relaxed with PBE; Cu Kα (λ = 1.5418 Å)).

Cell lengths 9.8572, 7.6158, 7.5766 Å; angles 80.91, 49.72, 49.37 degrees
Sites, in units of the cell vectors:
Tb 0.0000 0.0000 0.0000
Mg 0.0000 0.5000 0.0000
Mg 0.5000 0.0000 0.5000
Cd 0.0000 0.0000 0.5000
Cd 0.0032 0.3468 0.6532
Cd 0.2855 0.4980 0.5020
Cd 0.3468 0.0032 0.9968
Cd 0.4980 0.2855 0.7145
Cd 0.5000 0.5000 0.0000
Cd 0.5020 0.7145 0.2855
Cd 0.6532 0.9968 0.0032
Cd 0.7145 0.5020 0.4980
Cd 0.9968 0.6532 0.3468

Principal peaks in the range 2θ = 10–90°, in order of rising 2θ:
2θ/deg  I_rel
12.70  37
29.58  61
30.98  94
34.84  94
35.97  100
36.15  93
36.46  83
39.43  42
39.54  44
64.58  43


No. 2
Structure and calculated X-ray powder pattern of La2Dy2Y4Ho (a cell relaxed with PBE; Cu Kα (λ = 1.5418 Å)).

Cell lengths 9.5846, 9.5846, 9.6362 Å; angles 115.22, 115.22, 21.84 degrees
Sites, in units of the cell vectors:
La 0.1649 0.1649 0.4972
La 0.8351 0.8351 0.5028
Dy 0.3525 0.3525 0.8368
Dy 0.6475 0.6475 0.1632
Y 0.0200 0.0200 0.8366
Y 0.3144 0.3144 0.1634
Y 0.6856 0.6856 0.8366
Y 0.9800 0.9800 0.1634
Ho 0.5000 0.5000 0.5000

Principal peaks in the range 2θ = 10–90°, in order of rising 2θ:
2θ/deg  I_rel
28.62  45
30.90  49
31.62  100
33.31  92
39.88  16
45.23  15
50.35  25
54.31  20
57.58  20
60.25  29